Diffraction record for PrHo7In2. The X-ray powder pattern is simulated, not measured: it uses a DFT-relaxed cell (PBE, Alexandria) and copper Kα.

Peak list (12 most intense, 2θ = 5–70°, by intensity)
- 30.7 deg, rel. 100
- 34.2 deg, rel. 94
- 35.2 deg, rel. 93
- 32.3 deg, rel. 85
- 28.5 deg, rel. 79
- 45.2 deg, rel. 70
- 16.0 deg, rel. 69
- 25.3 deg, rel. 33
- 61.8 deg, rel. 27
- 19.5 deg, rel. 26
- 65.6 deg, rel. 25
- 30.0 deg, rel. 24

Structural model:
a = 8.8350 Å, b = 8.8350 Å, c = 5.5456 Å
α = 90.00°, β = 90.00°, γ = 117.97°
Sites, in units of the cell vectors:
Pr (0.0000, 0.0000, 0.0000)
Ho (0.0578, 0.3039, 0.5000)
Ho (0.2355, 0.7645, 0.0000)
Ho (0.3039, 0.0578, 0.5000)
Ho (0.5000, 0.5000, 0.5000)
Ho (0.6961, 0.9422, 0.5000)
Ho (0.7645, 0.2355, 0.0000)
Ho (0.9422, 0.6961, 0.5000)
In (0.3026, 0.6974, 0.5000)
In (0.6974, 0.3026, 0.5000)